Simulated powder diffractogram
Compound: PrCr2OsO8
Radiation: a wavelength of 1.5418 Å
Structure: DFT lattice parameters and positions (GGA+U)
No peak broadening, texture or thermal motion is included.

Principal peaks in the range 5° ≤ 2θ ≤ 70°, low angle first:
two_theta, I (rel.)
18.65, 59
26.12, 63
26.86, 56
27.33, 14
33.29, 100
37.82, 25
38.69, 23
41.99, 14
47.28, 12
50.83, 42
51.68, 37
65.43, 23

Cell and atoms:
```
PrCr2OsO8
1.0
3.3190 -3.4117 0.0000
3.3190 3.4117 0.0000
0.0000 0.0000 6.5271
Pr Cr Os O
1 2 1 8
Cartesian
0.0000 0.0000 0.0000
3.3190 0.0000 1.6237
3.3190 0.0000 4.9034
0.0000 0.0000 3.2635
1.3505 0.0000 1.9270
1.3505 0.0000 4.6001
3.3190 1.4648 3.2635
3.3190 1.1532 0.0000
3.3190 -1.1532 0.0000
3.3190 -1.4648 3.2635
5.2875 0.0000 1.9270
5.2875 0.0000 4.6001
```